For SrPrGdCoO6, DFT lattice parameters and positions (GGA+U) gives the calculated powder diffraction line list in this record (Cu Kα (weighted mean of Kα1 and Kα2)).
Lines closer than 0.1° are merged.

Peak list (10 most intense, 2θ from 5° to 70°, by angle)
- hkl 1 1 0, d = 4.710 Å, I 22
- hkl 1 1 1, d = 3.059 Å, I 100
- hkl 2 0 -2, d = 2.867 Å, I 35
- hkl 3 1 -1, d = 2.856 Å, I 86
- hkl 0 2 0, d = 2.795 Å, I 40
- hkl 1 1 -2, d = 2.509 Å, I 19
- hkl 4 0 0, d = 2.186 Å, I 24
- hkl 2 2 -2, d = 2.001 Å, I 43
- hkl 4 2 0, d = 1.722 Å, I 23
- hkl 6 0 -2, d = 1.660 Å, I 24

Structure:
Unit cell a=10.019 b=5.591 c=5.762 alpha=90.00 beta=119.23 gamma=90.00
Space group Cm (No. 8)
Symmetry-distinct sites (fractional):
Sr (0.000, 0.000, 0.000) x2
Pr (0.026, 0.500, 0.576) x2
Gd (0.263, 0.500, 0.278) x2
Co (0.238, 0.000, 0.738) x2
O (0.026, 0.500, 0.178) x2
O (0.029, 0.000, 0.463) x2
O (0.205, 0.239, 0.936) x4
O (0.324, 0.227, 0.610) x4